Na4AgCl5: computed X-ray diffraction stick pattern (Cu Kα, 1.54184 Å), based on a cell relaxed with PBE.
Lines closer than 0.1° are merged.

Atomic structure:
```
Na4AgCl5
1.0
-2.0106 2.8339 10.0229
2.0106 -2.8339 10.0229
2.0106 2.8339 -10.0229
Na Ag Cl
4 1 5
direct
0.0997 0.0997 0.0000 Na
0.2999 0.2999 0.0000 Na
0.7001 0.7001 0.0000 Na
0.9003 0.9003 0.0000 Na
0.5000 0.5000 0.0000 Ag
0.0000 0.5000 0.5000 Cl
0.2000 0.7000 0.5000 Cl
0.3994 0.8994 0.5000 Cl
0.6006 0.1006 0.5000 Cl
0.8000 0.3000 0.5000 Cl
```

The 10 most intense peaks (5 to 70 degrees two-theta), sorted by position:
d = 10.023 Å, 2θ 8.82, I = 30
d = 5.454 Å, 2θ 16.25, I = 17
d = 4.322 Å, 2θ 20.55, I = 10
d = 3.943 Å, 2θ 22.55, I = 8
d = 3.117 Å, 2θ 28.64, I = 9
d = 2.837 Å, 2θ 31.53, I = 100
d = 2.011 Å, 2θ 45.09, I = 11
d = 2.005 Å, 2θ 45.21, I = 56
d = 1.640 Å, 2θ 56.09, I = 11
d = 1.637 Å, 2θ 56.21, I = 11

***

Na2AgSbCl6: computed X-ray diffraction stick pattern (Cu Kα, 1.54184 Å), based on a cell relaxed with PBE.
Lines closer than 0.1° are merged.

Atomic structure:
```
Na2AgSbCl6
1.0
0.0000 5.3216 5.3216
5.3216 0.0000 5.3216
5.3216 5.3216 0.0000
Na Ag Sb Cl
2 1 1 6
direct
0.2500 0.2500 0.2500 Na
0.7500 0.7500 0.7500 Na
0.0000 0.0000 0.0000 Ag
0.5000 0.5000 0.5000 Sb
0.2515 0.2515 0.7485 Cl
0.2515 0.7485 0.2515 Cl
0.2515 0.7485 0.7485 Cl
0.7485 0.2515 0.2515 Cl
0.7485 0.2515 0.7485 Cl
0.7485 0.7485 0.2515 Cl
```

The 10 most intense peaks (5 to 70 degrees two-theta), sorted by position:
d = 5.322 Å, 2θ 16.66, I = 100
d = 3.763 Å, 2θ 23.64, I = 55
d = 2.661 Å, 2θ 33.68, I = 63
d = 2.380 Å, 2θ 37.80, I = 48
d = 2.173 Å, 2θ 41.57, I = 26
d = 1.881 Å, 2θ 48.38, I = 42
d = 1.774 Å, 2θ 51.52, I = 24
d = 1.683 Å, 2θ 54.53, I = 12
d = 1.536 Å, 2θ 60.24, I = 14
d = 1.422 Å, 2θ 65.65, I = 13

***

Na2ScAgCl6: computed X-ray diffraction stick pattern (Cu Kα, 1.54184 Å), based on a cell relaxed with PBE.
Lines closer than 0.1° are merged.

Atomic structure:
```
Na2ScAgCl6
1.0
0.0000 5.1699 5.1699
5.1699 0.0000 5.1699
5.1699 5.1699 0.0000
Na Sc Ag Cl
2 1 1 6
direct
0.2500 0.2500 0.2500 Na
0.7500 0.7500 0.7500 Na
0.0000 0.0000 0.0000 Sc
0.5000 0.5000 0.5000 Ag
0.2401 0.2401 0.7599 Cl
0.2401 0.7599 0.2401 Cl
0.2401 0.7599 0.7599 Cl
0.7599 0.2401 0.2401 Cl
0.7599 0.2401 0.7599 Cl
0.7599 0.7599 0.2401 Cl
```

The 10 most intense peaks (5 to 70 degrees two-theta), sorted by position:
d = 5.970 Å, 2θ 14.84, I = 13
d = 5.170 Å, 2θ 17.15, I = 100
d = 3.656 Å, 2θ 24.35, I = 44
d = 3.118 Å, 2θ 28.63, I = 17
d = 2.585 Å, 2θ 34.70, I = 85
d = 2.312 Å, 2θ 38.95, I = 44
d = 2.111 Å, 2θ 42.85, I = 20
d = 1.828 Å, 2θ 49.89, I = 54
d = 1.723 Å, 2θ 53.15, I = 20
d = 1.492 Å, 2θ 62.20, I = 17

***

AgPb4ClO4: computed X-ray diffraction stick pattern (Cu Kα, 1.54184 Å), based on a cell relaxed with PBE.
Lines closer than 0.1° are merged.

Atomic structure:
```
AgPb4ClO4
1.0
8.4561 0.0000 0.0000
0.0000 8.4561 0.0000
0.0000 0.0000 6.5515
Ag Pb Cl O
2 8 2 8
direct
0.2500 0.2500 0.0959 Ag
0.7500 0.7500 0.9041 Ag
0.0544 0.6061 0.2239 Pb
0.1061 0.9456 0.7761 Pb
0.3939 0.5544 0.7761 Pb
0.4456 0.8939 0.2239 Pb
0.5544 0.1061 0.7761 Pb
0.6061 0.4456 0.2239 Pb
0.8939 0.0544 0.2239 Pb
0.9456 0.3939 0.7761 Pb
0.2500 0.2500 0.4869 Cl
0.7500 0.7500 0.5131 Cl
0.0028 0.8397 0.0713 O
0.1603 0.5028 0.9287 O
0.3397 0.9972 0.9287 O
0.4972 0.6603 0.0713 O
0.5028 0.3397 0.9287 O
0.6603 0.0028 0.0713 O
0.8397 0.4972 0.0713 O
0.9972 0.1603 0.9287 O
```

The 10 most intense peaks (5 to 70 degrees two-theta), sorted by position:
d = 6.551 Å, 2θ 13.52, I = 10
d = 4.228 Å, 2θ 21.01, I = 9
d = 3.275 Å, 2θ 27.23, I = 100
d = 2.674 Å, 2θ 33.51, I = 22
d = 2.589 Å, 2θ 34.64, I = 14
d = 2.071 Å, 2θ 43.70, I = 12
d = 1.957 Å, 2θ 46.39, I = 15
d = 1.891 Å, 2θ 48.12, I = 22
d = 1.703 Å, 2θ 53.84, I = 9
d = 1.638 Å, 2θ 56.17, I = 16

***

Ag2PdCl4: computed X-ray diffraction stick pattern (Cu Kα, 1.54184 Å), based on a cell relaxed with PBE.
Lines closer than 0.1° are merged.

Atomic structure:
```
Ag2PdCl4
1.0
5.0529 -4.1723 0.0000
5.0529 4.1723 0.0000
0.0000 0.0000 8.2476
Ag Pd Cl
4 2 8
direct
0.0288 0.4712 0.2500 Ag
0.4712 0.0288 0.7500 Ag
0.5288 0.9712 0.2500 Ag
0.9712 0.5288 0.7500 Ag
0.0000 0.0000 0.0000 Pd
0.5000 0.5000 0.5000 Pd
0.1927 0.8073 0.2053 Cl
0.2302 0.2302 0.0000 Cl
0.2698 0.2698 0.5000 Cl
0.3073 0.6927 0.7053 Cl
0.6927 0.3073 0.2947 Cl
0.7302 0.7302 0.5000 Cl
0.7698 0.7698 0.0000 Cl
0.8073 0.1927 0.7947 Cl
```

The 10 most intense peaks (5 to 70 degrees two-theta), sorted by position:
d = 5.070 Å, 2θ 17.49, I = 78
d = 3.217 Å, 2θ 27.73, I = 25
d = 3.195 Å, 2θ 27.93, I = 26
d = 2.997 Å, 2θ 29.81, I = 18
d = 2.933 Å, 2θ 30.48, I = 100
d = 2.527 Å, 2θ 35.53, I = 44
d = 2.087 Å, 2θ 43.35, I = 17
d = 2.062 Å, 2θ 43.91, I = 19
d = 1.914 Å, 2θ 47.51, I = 59
d = 1.598 Å, 2θ 57.70, I = 20

***

Rb2PrAgCl6: computed X-ray diffraction stick pattern (Cu Kα, 1.54184 Å), based on a cell relaxed with PBE.
Lines closer than 0.1° are merged.

Atomic structure:
```
Rb2PrAgCl6
1.0
0.0000 5.4919 5.4919
5.4919 0.0000 5.4919
5.4919 5.4919 0.0000
Rb Pr Ag Cl
2 1 1 6
direct
0.2500 0.2500 0.2500 Rb
0.7500 0.7500 0.7500 Rb
0.0000 0.0000 0.0000 Pr
0.5000 0.5000 0.5000 Ag
0.2499 0.2499 0.7501 Cl
0.2499 0.7501 0.2499 Cl
0.2499 0.7501 0.7501 Cl
0.7501 0.2499 0.2499 Cl
0.7501 0.2499 0.7501 Cl
0.7501 0.7501 0.2499 Cl
```

The 10 most intense peaks (5 to 70 degrees two-theta), sorted by position:
d = 5.492 Å, 2θ 16.14, I = 23
d = 3.883 Å, 2θ 22.90, I = 100
d = 2.746 Å, 2θ 32.61, I = 68
d = 2.456 Å, 2θ 36.59, I = 11
d = 2.242 Å, 2θ 40.22, I = 47
d = 1.942 Å, 2θ 46.79, I = 46
d = 1.737 Å, 2θ 52.71, I = 21
d = 1.585 Å, 2θ 58.19, I = 16
d = 1.468 Å, 2θ 63.37, I = 24
d = 1.373 Å, 2θ 68.32, I = 7

***

RbAgCl3: computed X-ray diffraction stick pattern (Cu Kα, 1.54184 Å), based on a cell relaxed with PBE.
Lines closer than 0.1° are merged.

Atomic structure:
```
RbAgCl3
1.0
5.1671 0.0000 0.0000
0.0000 5.1655 0.0000
-0.0057 0.0000 5.1693
Rb Ag Cl
1 1 3
direct
0.0000 0.0000 0.0000 Rb
0.5034 0.5000 0.5094 Ag
0.0033 0.5000 0.5067 Cl
0.4980 0.5000 0.0094 Cl
0.5056 0.0000 0.5094 Cl
```

The 10 most intense peaks (5 to 70 degrees two-theta), sorted by position:
d = 5.167 Å, 2θ 17.16, I = 18
d = 3.654 Å, 2θ 24.36, I = 100
d = 2.983 Å, 2θ 29.95, I = 11
d = 2.584 Å, 2θ 34.72, I = 71
d = 2.311 Å, 2θ 38.98, I = 8
d = 2.110 Å, 2θ 42.87, I = 45
d = 1.827 Å, 2θ 49.92, I = 47
d = 1.634 Å, 2θ 56.30, I = 20
d = 1.492 Å, 2θ 62.24, I = 15
d = 1.381 Å, 2θ 67.87, I = 22

***

RbAgCl3: computed X-ray diffraction stick pattern (Cu Kα, 1.54184 Å), based on a cell relaxed with PBE.
Lines closer than 0.1° are merged.

Atomic structure:
```
RbAgCl3
1.0
5.1605 0.0000 0.0000
0.0000 5.1605 0.0000
0.0000 0.0000 5.1605
Rb Ag Cl
1 1 3
direct
0.0000 0.0000 0.0000 Rb
0.5000 0.5000 0.5000 Ag
0.0000 0.5000 0.5000 Cl
0.5000 0.0000 0.5000 Cl
0.5000 0.5000 0.0000 Cl
```

The 10 most intense peaks (5 to 70 degrees two-theta), sorted by position:
d = 5.161 Å, 2θ 17.18, I = 18
d = 3.649 Å, 2θ 24.39, I = 100
d = 2.979 Å, 2θ 29.99, I = 11
d = 2.580 Å, 2θ 34.77, I = 71
d = 2.308 Å, 2θ 39.03, I = 8
d = 2.107 Å, 2θ 42.93, I = 45
d = 1.825 Å, 2θ 49.99, I = 47
d = 1.632 Å, 2θ 56.38, I = 20
d = 1.490 Å, 2θ 62.33, I = 15
d = 1.379 Å, 2θ 67.97, I = 22

***

Rb2SmAgCl6: computed X-ray diffraction stick pattern (Cu Kα, 1.54184 Å), based on a cell relaxed with PBE.
Lines closer than 0.1° are merged.

Atomic structure:
```
Rb2SmAgCl6
1.0
0.0000 5.4382 5.4382
5.4382 0.0000 5.4382
5.4382 5.4382 0.0000
Rb Sm Ag Cl
2 1 1 6
direct
0.2500 0.2500 0.2500 Rb
0.7500 0.7500 0.7500 Rb
0.0000 0.0000 0.0000 Sm
0.5000 0.5000 0.5000 Ag
0.2474 0.2474 0.7526 Cl
0.2474 0.7526 0.2474 Cl
0.2474 0.7526 0.7526 Cl
0.7526 0.2474 0.2474 Cl
0.7526 0.2474 0.7526 Cl
0.7526 0.7526 0.2474 Cl
```

The 10 most intense peaks (5 to 70 degrees two-theta), sorted by position:
d = 5.438 Å, 2θ 16.30, I = 24
d = 3.845 Å, 2θ 23.13, I = 100
d = 2.719 Å, 2θ 32.94, I = 66
d = 2.432 Å, 2θ 36.96, I = 12
d = 2.220 Å, 2θ 40.64, I = 47
d = 1.923 Å, 2θ 47.28, I = 45
d = 1.720 Å, 2θ 53.27, I = 21
d = 1.570 Å, 2θ 58.82, I = 15
d = 1.453 Å, 2θ 64.07, I = 24
d = 1.360 Å, 2θ 69.09, I = 7